ThCo4Ge4: simulated powder X-ray diffraction pattern (copper Kα), based on a cell relaxed with PBE.

Crystal structure
Cell: 6.1014 6.1014 6.1014 Å, 98.04 98.04 136.09°
Fractional coordinates of all 9 atoms:
Th1 0.0000 0.0000 0.0000
Co1 0.1681 0.3055 0.4737
Co2 0.3055 0.8319 0.1374
Co3 0.6945 0.1681 0.8626
Co4 0.8319 0.6945 0.5263
Ge1 0.1290 0.6060 0.7350
Ge2 0.3940 0.1290 0.5230
Ge3 0.6060 0.8710 0.4770
Ge4 0.8710 0.3940 0.2650

Top 10 peaks for 2θ from 15° to 90°, most intense first:
- 2θ 35.47, intensity 100
- 2θ 22.43, intensity 77
- 2θ 31.78, intensity 67
- 2θ 45.44, intensity 64
- 2θ 54.13, intensity 59
- 2θ 39.50, intensity 52
- 2θ 51.14, intensity 46
- 2θ 31.62, intensity 32
- 2θ 51.45, intensity 16
- 2θ 66.08, intensity 16

***

TaBeTe2: simulated powder X-ray diffraction pattern (copper Kα), based on a cell relaxed with PBE.

Crystal structure
Cell: 7.9125 7.9125 7.9125 Å, 153.80 153.75 37.43°
Fractional coordinates of all 4 atoms:
Ta1 0.0000 0.0000 0.0000
Be1 0.6162 0.1162 0.5000
Te1 0.1499 0.6499 0.5000
Te2 0.4071 0.4071 0.0000

Top 10 peaks for 2θ from 15° to 90°, most intense first:
- 2θ 37.40, intensity 100
- 2θ 30.68, intensity 93
- 2θ 39.15, intensity 73
- 2θ 25.49, intensity 52
- 2θ 66.01, intensity 31
- 2θ 49.56, intensity 31
- 2θ 60.55, intensity 27
- 2θ 43.04, intensity 21
- 2θ 73.78, intensity 19
- 2θ 73.35, intensity 19

***

PrNd12Ho7: simulated powder X-ray diffraction pattern (copper Kα), based on a cell relaxed with PBE.

Crystal structure
Cell: 9.4518 9.4518 9.4518 Å, 107.86 107.86 107.86°
Fractional coordinates of all 20 atoms:
Pr1 0.0000 0.0000 0.0000
Nd1 0.0503 0.4080 0.2962
Nd2 0.2227 0.3753 0.6704
Nd3 0.2962 0.0503 0.4080
Nd4 0.3297 0.7773 0.6247
Nd5 0.3753 0.6703 0.2227
Nd6 0.4080 0.2962 0.0503
Nd7 0.5920 0.7038 0.9497
Nd8 0.6247 0.3296 0.7773
Nd9 0.6703 0.2227 0.3753
Nd10 0.7038 0.9497 0.5920
Nd11 0.7773 0.6247 0.3297
Nd12 0.9497 0.5920 0.7038
Ho1 0.0090 0.3208 0.8949
Ho2 0.1051 0.9910 0.6792
Ho3 0.3208 0.8949 0.0090
Ho4 0.5000 0.5000 0.5000
Ho5 0.6792 0.1051 0.9910
Ho6 0.8949 0.0090 0.3208
Ho7 0.9910 0.6792 0.1051

Top 10 peaks for 2θ from 15° to 90°, most intense first:
- 2θ 30.97, intensity 100
- 2θ 33.32, intensity 41
- 2θ 28.79, intensity 36
- 2θ 35.38, intensity 29
- 2θ 30.02, intensity 18
- 2θ 55.12, intensity 17
- 2θ 63.61, intensity 17
- 2θ 50.80, intensity 17
- 2θ 41.04, intensity 10
- 2θ 59.35, intensity 9

***

Y7Te2: simulated powder X-ray diffraction pattern (copper Kα), based on a cell relaxed with PBE.

Crystal structure
Cell: 23.1902 3.9442 12.1682 Å, 90.00 90.00 90.00°
Fractional coordinates of all 36 atoms:
Y1 0.0248 0.2500 0.1199
Y2 0.0463 0.7500 0.3823
Y3 0.0741 0.7500 0.6583
Y4 0.1026 0.2500 0.8703
Y5 0.1554 0.7500 0.0879
Y6 0.1694 0.2500 0.5269
Y7 0.2240 0.7500 0.7532
Y8 0.2760 0.2500 0.2532
Y9 0.3306 0.7500 0.0269
Y10 0.3446 0.2500 0.5879
Y11 0.3974 0.7500 0.3703
Y12 0.4259 0.2500 0.1583
Y13 0.4537 0.2500 0.8823
Y14 0.4752 0.7500 0.6199
Y15 0.5248 0.2500 0.3801
Y16 0.5463 0.7500 0.1177
Y17 0.5741 0.7500 0.8417
Y18 0.6026 0.2500 0.6297
Y19 0.6554 0.7500 0.4121
Y20 0.6694 0.2500 0.9731
Y21 0.7240 0.7500 0.7468
Y22 0.7760 0.2500 0.2468
Y23 0.8306 0.7500 0.4731
Y24 0.8446 0.2500 0.9121
Y25 0.8974 0.7500 0.1297
Y26 0.9259 0.2500 0.3417
Y27 0.9537 0.2500 0.6177
Y28 0.9752 0.7500 0.8801
Te1 0.1386 0.2500 0.2792
Te2 0.2337 0.2500 0.9578
Te3 0.2663 0.7500 0.4578
Te4 0.3614 0.7500 0.7792
Te5 0.6386 0.2500 0.2208
Te6 0.7337 0.2500 0.5422
Te7 0.7663 0.7500 0.0422
Te8 0.8614 0.7500 0.7208

Top 10 peaks for 2θ from 15° to 90°, most intense first:
- 2θ 30.66, intensity 100
- 2θ 31.64, intensity 53
- 2θ 31.73, intensity 43
- 2θ 30.38, intensity 42
- 2θ 29.36, intensity 40
- 2θ 46.02, intensity 32
- 2θ 33.75, intensity 29
- 2θ 32.59, intensity 26
- 2θ 35.72, intensity 26
- 2θ 35.29, intensity 24